For HoTmRu2, a structure optimized by DFT (GGA-PBE) gives the theoretical XRD peak list in this record (λ = 1.5418 Å (Cu Kα)).

Principal peaks in the range 2θ from 15° to 90°, most intense first:
d_spacing, I/Imax
2.382, 1000
1.375, 350
1.684, 173
1.191, 110
3.369, 65
1.507, 28
1.945, 20
1.123, 15

Structure:
```
4
Lattice="0.000 3.369 3.369 3.369 0.000 3.369 3.369 3.369 0.000" Properties=species:S:1:pos:R:3 pbc="T T T"
Ho 0.000 0.000 0.000
Tm 3.369 3.369 3.369
Ru 1.684 1.684 1.684
Ru 5.053 5.053 5.053
```



For YHoRu2, a structure optimized by DFT (GGA-PBE) gives the theoretical XRD peak list in this record (λ = 1.5418 Å (Cu Kα)).

Principal peaks in the range 2θ from 15° to 90°, most intense first:
d_spacing, I/Imax
2.406, 1000
1.389, 346
1.701, 172
1.203, 107
3.929, 56
2.052, 32
1.561, 14
3.402, 13
1.150, 11
1.310, 11

Structure:
```
4
Lattice="0.000 3.402 3.402 3.402 0.000 3.402 3.402 3.402 0.000" Properties=species:S:1:pos:R:3 pbc="T T T"
Y 0.000 0.000 0.000
Ho 3.402 3.402 3.402
Ru 1.701 1.701 1.701
Ru 5.104 5.104 5.104
```



For Ho2ZnRu, a structure optimized by DFT (GGA-PBE) gives the theoretical XRD peak list in this record (λ = 1.5418 Å (Cu Kα)).

Principal peaks in the range 2θ from 15° to 90°, most intense first:
d_spacing, I/Imax
2.450, 1000
1.414, 353
1.732, 174
1.096, 161
3.465, 111
1.225, 109
1.549, 47
2.000, 34
1.155, 24
4.001, 10

Structure:
```
4
Lattice="0.000 3.465 3.465 3.465 0.000 3.465 3.465 3.465 0.000" Properties=species:S:1:pos:R:3 pbc="T T T"
Ho 1.732 1.732 1.732
Ho 5.197 5.197 5.197
Zn 0.000 0.000 0.000
Ru 3.465 3.465 3.465
```



For HoZrRu2, a structure optimized by DFT (GGA-PBE) gives the theoretical XRD peak list in this record (λ = 1.5418 Å (Cu Kα)).

Principal peaks in the range 2θ from 15° to 90°, most intense first:
d_spacing, I/Imax
2.355, 1000
1.360, 342
1.665, 170
1.178, 107
3.846, 52
2.008, 29
3.331, 14
1.528, 13
1.126, 10
1.282, 10

Structure:
```
4
Lattice="0.000 3.331 3.331 3.331 0.000 3.331 3.331 3.331 0.000" Properties=species:S:1:pos:R:3 pbc="T T T"
Ho 0.000 0.000 0.000
Zr 3.331 3.331 3.331
Ru 1.665 1.665 1.665
Ru 4.996 4.996 4.996
```



For Ho5S7, a structure optimized by DFT (GGA-PBE) gives the theoretical XRD peak list in this record (λ = 1.5418 Å (Cu Kα)).

Principal peaks in the range 2θ from 15° to 90°, most intense first:
d_spacing, I/Imax
3.623, 1000
3.710, 835
2.685, 467
3.191, 384
2.604, 362
2.820, 332
3.374, 330
2.140, 280
2.070, 273
2.298, 256

Structure:
```
12
Lattice="6.383 -1.894 0.000 6.383 1.894 0.000 -2.908 0.000 11.197" Properties=species:S:1:pos:R:3 pbc="T T T"
Ho 0.000 0.000 0.000
Ho 0.206 0.000 4.712
Ho 3.287 0.000 2.092
Ho 6.571 0.000 9.105
Ho 9.653 0.000 6.484
S -1.751 0.000 8.790
S 1.428 0.000 7.258
S 1.593 0.000 10.627
S 4.929 0.000 5.598
S 8.265 0.000 0.569
S 8.431 0.000 3.939
S 11.610 0.000 2.406
```



For HoS2, a structure optimized by DFT (GGA-PBE) gives the theoretical XRD peak list in this record (λ = 1.5418 Å (Cu Kα)).

Principal peaks in the range 2θ from 15° to 90°, most intense first:
d_spacing, I/Imax
3.463, 1000
2.244, 619
2.180, 427
2.721, 386
3.967, 293
1.924, 271
1.682, 268
1.443, 228
2.574, 158
1.163, 152

Structure:
```
6
Lattice="3.848 0.000 0.000 0.000 3.848 0.000 0.000 0.000 7.934" Properties=species:S:1:pos:R:3 pbc="T T T"
Ho 0.962 0.962 1.795
Ho 2.886 2.886 6.139
S 0.962 0.962 6.878
S 0.962 2.886 3.967
S 2.886 0.962 3.967
S 2.886 2.886 1.056
```



For SrHo2S4, a structure optimized by DFT (GGA-PBE) gives the theoretical XRD peak list in this record (λ = 1.5418 Å (Cu Kα)).

Principal peaks in the range 2θ from 15° to 90°, most intense first:
d_spacing, I/Imax
3.502, 1000
3.340, 920
2.433, 576
3.579, 459
3.319, 438
2.401, 340
1.994, 312
1.989, 297
1.729, 279
2.598, 231

Structure:
```
28
Lattice="12.047 0.000 0.000 0.000 3.977 0.000 0.000 0.000 14.316" Properties=species:S:1:pos:R:3 pbc="T T T"
Sr 2.887 0.994 2.356
Sr 3.137 2.983 9.514
Sr 8.910 0.994 4.802
Sr 9.161 2.983 11.960
Ho 0.760 0.994 5.580
Ho 1.001 0.994 12.893
Ho 5.022 2.983 5.735
Ho 5.264 2.983 12.738
Ho 6.783 0.994 1.578
Ho 7.025 0.994 8.581
Ho 11.046 2.983 1.423
Ho 11.288 2.983 8.736
S 0.325 2.983 11.230
S 1.061 0.994 8.266
S 1.542 2.983 0.418
S 2.462 2.983 4.705
S 3.562 0.994 11.862
S 4.482 0.994 7.576
S 4.963 2.983 1.108
S 5.699 0.994 4.072
S 6.349 2.983 10.244
S 7.084 0.994 13.208
S 7.566 2.983 6.740
S 8.486 2.983 2.453
S 9.585 0.994 9.611
S 10.505 0.994 13.898
S 10.987 2.983 6.050
S 11.722 0.994 3.086
```



For Ho2TeS2, a structure optimized by DFT (GGA-PBE) gives the theoretical XRD peak list in this record (λ = 1.5418 Å (Cu Kα)).

Principal peaks in the range 2θ from 15° to 90°, most intense first:
d_spacing, I/Imax
3.047, 1000
4.970, 915
2.011, 607
2.953, 399
2.676, 370
2.346, 350
2.229, 179
2.087, 179
1.646, 168
1.713, 159

Structure:
```
5
Lattice="-2.087 2.676 6.688 2.087 -2.676 6.688 2.087 2.676 -6.688" Properties=species:S:1:pos:R:3 pbc="T T T"
Ho 0.000 0.000 2.242
Ho 0.000 0.000 11.133
Te 2.087 0.000 0.000
S 2.087 0.000 3.992
S 0.000 2.676 2.696
```



For Ho2ZnS4, a structure optimized by DFT (GGA-PBE) gives the theoretical XRD peak list in this record (λ = 1.5418 Å (Cu Kα)).

Principal peaks in the range 2θ from 15° to 90°, most intense first:
d_spacing, I/Imax
2.315, 1000
3.240, 657
3.327, 578
4.633, 538
3.673, 432
3.394, 350
1.954, 343
5.740, 240
1.963, 207
2.131, 170

Structure:
```
28
Lattice="13.517 0.000 0.000 0.000 7.851 0.000 0.000 0.000 6.340" Properties=species:S:1:pos:R:3 pbc="T T T"
Ho 0.000 0.000 0.000
Ho 0.000 3.926 0.000
Ho 3.152 1.963 3.165
Ho 3.607 5.888 6.335
Ho 6.758 0.000 3.170
Ho 6.758 3.926 3.170
Ho 9.910 1.963 0.005
Ho 10.365 5.888 3.175
Zn 1.290 5.888 3.705
Zn 5.469 1.963 0.535
Zn 8.048 5.888 5.805
Zn 12.227 1.963 2.635
S 0.910 1.963 1.640
S 1.241 5.888 1.406
S 2.278 4.023 4.785
S 2.278 7.754 4.785
S 4.480 0.097 1.615
S 4.480 3.828 1.615
S 5.517 1.963 4.576
S 5.849 5.888 4.810
S 7.668 1.963 1.530
S 8.000 5.888 1.764
S 9.037 4.023 4.726
S 9.037 7.754 4.726
S 11.239 0.097 1.555
S 11.239 3.828 1.555
S 12.275 1.963 4.934
S 12.607 5.888 4.700
```



For HoSb2, a structure optimized by DFT (GGA-PBE) gives the theoretical XRD peak list in this record (λ = 1.5418 Å (Cu Kα)).

Principal peaks in the range 2θ from 15° to 90°, most intense first:
d_spacing, I/Imax
2.867, 1000
2.405, 518
2.898, 500
2.424, 416
2.553, 391
1.628, 358
1.752, 233
3.091, 218
1.322, 196
1.546, 171

Structure:
```
3
Lattice="1.777 -3.131 0.000 1.777 3.131 0.000 0.000 0.000 7.658" Properties=species:S:1:pos:R:3 pbc="T T T"
Ho 0.000 0.000 0.000
Sb 0.889 1.565 2.464
Sb 0.889 -1.565 5.195
```



For Ho5Sb3, a structure optimized by DFT (GGA-PBE) gives the theoretical XRD peak list in this record (λ = 1.5418 Å (Cu Kα)).

Principal peaks in the range 2θ from 15° to 90°, most intense first:
d_spacing, I/Imax
2.653, 1000
2.569, 832
2.582, 508
2.928, 336
1.703, 265
1.821, 226
2.909, 201
3.139, 159
1.648, 156
1.389, 147

Structure:
```
16
Lattice="8.944 0.000 0.000 -4.472 7.746 0.000 0.000 0.000 6.278" Properties=species:S:1:pos:R:3 pbc="T T T"
Ho -1.102 1.909 1.570
Ho -3.370 5.837 4.709
Ho 2.205 0.000 1.570
Ho 1.102 1.909 4.709
Ho 0.000 5.164 0.000
Ho 0.000 5.164 3.139
Ho 4.472 2.582 0.000
Ho 4.472 2.582 3.139
Ho 6.740 0.000 4.709
Ho 3.370 5.837 1.570
Sb -1.739 3.012 4.709
Sb -2.733 4.733 1.570
Sb 3.478 0.000 4.709
Sb 1.739 3.012 1.570
Sb 5.466 0.000 1.570
Sb 2.733 4.733 4.709
```



For HoSb, a structure optimized by DFT (GGA-PBE) gives the theoretical XRD peak list in this record (λ = 1.5418 Å (Cu Kα)).

Principal peaks in the range 2θ from 15° to 90°, most intense first:
d_spacing, I/Imax
2.681, 1000
1.548, 374
1.896, 181
1.199, 162
1.341, 115
1.095, 42
3.792, 25
1.696, 12
2.189, 8
1.264, 6

Structure:
```
2
Lattice="3.792 0.000 0.000 0.000 3.792 0.000 0.000 0.000 3.792" Properties=species:S:1:pos:R:3 pbc="T T T"
Ho 0.000 0.000 0.000
Sb 1.896 1.896 1.896
```



For HoSb, a structure optimized by DFT (GGA-PBE) gives the theoretical XRD peak list in this record (λ = 1.5418 Å (Cu Kα)).

Principal peaks in the range 2θ from 15° to 90°, most intense first:
d_spacing, I/Imax
3.091, 1000
2.185, 761
1.382, 348
1.784, 272
1.262, 258
1.545, 127
1.093, 86
3.569, 40
1.864, 22
1.418, 9

Structure:
```
2
Lattice="0.000 3.091 3.091 3.091 0.000 3.091 3.091 3.091 0.000" Properties=species:S:1:pos:R:3 pbc="T T T"
Ho 0.000 0.000 0.000
Sb 3.091 3.091 3.091
```



For HoScSi, a structure optimized by DFT (GGA-PBE) gives the theoretical XRD peak list in this record (λ = 1.5418 Å (Cu Kα)).

Principal peaks in the range 2θ from 15° to 90°, most intense first:
d_spacing, I/Imax
3.507, 1000
3.644, 667
2.526, 633
2.568, 624
2.488, 601
3.058, 524
2.576, 523
2.666, 396
1.629, 395
2.536, 375

Structure:
```
18
Lattice="6.116 0.000 0.000 0.000 7.282 4.538 0.000 -7.282 4.538" Properties=species:S:1:pos:R:3 pbc="T T T"
Ho 0.000 0.000 0.000
Ho 0.000 -1.849 3.386
Ho 0.000 1.849 3.386
Ho 3.058 -5.310 5.336
Ho 3.058 0.000 5.039
Ho 3.058 5.310 5.336
Sc 1.521 -2.250 6.818
Sc 1.521 2.250 6.818
Sc 3.058 -2.638 3.853
Sc 3.058 2.638 3.853
Sc 4.595 -2.250 6.818
Sc 4.595 2.250 6.818
Si 0.000 -4.329 4.840
Si 0.000 0.000 5.959
Si 0.000 4.329 4.840
Si 1.872 0.000 2.456
Si 3.058 0.000 7.860
Si 4.244 0.000 2.456
```